# 1
Simulated powder diffraction line list
Compound: BaMg6B
Radiation: CuKα
Structure: a DFT-relaxed cell (GGA-PBE, the Materials Project)

Largest 6 diffraction maxima, in order of rising 2θ, 5° ≤ 2θ ≤ 70°:
| Position (°2θ) | I/Imax |
| --- | --- |
| 15.1 | 939 |
| 27.2 | 948 |
| 30.4 | 1000 |
| 31.4 | 721 |
| 31.5 | 751 |
| 38.1 | 752 |

```
data_BaMg6B
_chemical_formula_sum 'Ba2 Mg12 B2'
_cell_length_a 3.9610
_cell_length_b 6.2991
_cell_length_c 16.2532
_cell_angle_alpha 90.00
_cell_angle_beta 90.00
_cell_angle_gamma 90.00
_symmetry_space_group_name_H-M 'A m m 2'
_symmetry_Int_Tables_number 38
_symmetry_space_group_name_Hall 'A 2 -2'
loop_
_atom_site_label
_atom_site_fract_x
_atom_site_fract_y
_atom_site_fract_z
Ba1 0.0000 0.0000 0.0000
Mg1 0.0000 0.0000 0.5768
Mg2 0.0000 0.2253 0.8113
Mg3 0.5000 0.0000 0.4169
Mg4 0.5000 0.2481 0.1814
B1 0.5000 0.0000 0.8152
```


# 2
Simulated powder diffraction line list
Compound: BaMg6B
Radiation: CuKα
Structure: a DFT-relaxed cell (GGA-PBE, the Materials Project)

Largest 6 diffraction maxima, in order of rising 2θ, 5° ≤ 2θ ≤ 70°:
| Position (°2θ) | I/Imax |
| --- | --- |
| 16.1 | 919 |
| 24.9 | 1000 |
| 30.3 | 832 |
| 30.8 | 1000 |
| 32.6 | 500 |
| 37.9 | 805 |

```
data_BaMg6B
_chemical_formula_sum 'Ba2 Mg12 B2'
_cell_length_a 4.7234
_cell_length_b 5.9173
_cell_length_c 14.7374
_cell_angle_alpha 90.00
_cell_angle_beta 90.00
_cell_angle_gamma 90.00
_symmetry_space_group_name_H-M 'A m m 2'
_symmetry_Int_Tables_number 38
_symmetry_space_group_name_Hall 'A 2 -2'
loop_
_atom_site_label
_atom_site_fract_x
_atom_site_fract_y
_atom_site_fract_z
Ba1 0.0000 0.0000 0.0000
Mg1 0.0000 0.2453 0.7409
Mg2 0.5000 0.0000 0.1710
Mg3 0.5000 0.0000 0.5989
Mg4 0.5000 0.2323 0.3727
B1 0.0000 0.0000 0.3674
```


# 3
Simulated powder diffraction line list
Compound: Ba3B3N5
Radiation: CuKα
Structure: a DFT-relaxed cell (GGA-PBE, the Materials Project)

Largest 6 diffraction maxima, in order of rising 2θ, 5° ≤ 2θ ≤ 70°:
| Position (°2θ) | I/Imax |
| --- | --- |
| 24.3 | 664 |
| 24.9 | 1000 |
| 25.0 | 960 |
| 27.5 | 884 |
| 28.9 | 745 |
| 30.9 | 816 |

```
data_Ba3B3N5
_chemical_formula_sum 'Ba6 B6 N10'
_cell_length_a 6.6729
_cell_length_b 7.3881
_cell_length_c 7.8279
_cell_angle_alpha 101.40
_cell_angle_beta 100.63
_cell_angle_gamma 91.33
_symmetry_space_group_name_H-M 'P -1'
_symmetry_Int_Tables_number 2
_symmetry_space_group_name_Hall '-P 1'
loop_
_atom_site_label
_atom_site_fract_x
_atom_site_fract_y
_atom_site_fract_z
Ba1 0.1141 0.2931 0.1403
Ba2 0.2835 0.0619 0.6351
Ba3 0.3317 0.5541 0.7015
B1 0.0935 0.7037 0.4073
B2 0.2125 0.7185 0.2061
B3 0.4139 0.9056 0.0246
N1 0.0102 0.3148 0.7858
N2 0.0144 0.7537 0.5647
N3 0.2949 0.7612 0.0611
N4 0.3199 0.6879 0.3832
N5 0.4607 0.1059 0.1181
```